Diffraction record for CeZn8Cu4. The PXRD pattern is calculated, not measured: it uses DFT lattice parameters and positions (PBE) and Cu Ka.
Intensities are scaled so that the largest is 100.

Largest 10 diffraction maxima, low angle first, 15° ≤ 2θ ≤ 90°:
- 28.8°, I 19, (2 1 1)
- 35.2°, I 48, (3 0 1)
- 40.5°, I 65, (4 0 0)
- 40.8°, I 100, (3 2 1)
- 41.8°, I 67, (2 0 2)
- 45.5°, I 19, (4 2 0)
- 46.7°, I 43, (2 2 2)
- 68.4°, I 20, (3 2 3)
- 73.8°, I 24, (6 3 1)
- 74.5°, I 23, (6 0 2)

Structure:
```
data_CeZn8Cu4
_symmetry_space_group_name_H-M 'I 4/m m m'
_symmetry_Int_Tables_number 139
_symmetry_space_group_name_Hall '-I 4 2'
_cell_length_a 8.917
_cell_length_b 8.917
_cell_length_c 4.945
_cell_angle_alpha 90.00
_cell_angle_beta 90.00
_cell_angle_gamma 90.00
loop_
_atom_site_label
_atom_site_type_symbol
_atom_site_fract_x
_atom_site_fract_y
_atom_site_fract_z
Ce1 Ce 0.000 0.000 0.000
Zn1 Zn 0.000 0.222 0.500
Zn2 Zn 0.000 0.349 0.000
Cu1 Cu 0.250 0.250 0.250
```

Diffraction record for Tb3NiCl3. The PXRD pattern is calculated, not measured: it uses DFT lattice parameters and positions (PBE) and Cu Ka.
Intensities are scaled so that the largest is 100.

Largest 10 diffraction maxima, low angle first, 15° ≤ 2θ ≤ 90°:
- 27.4°, I 39, (2 2 2)
- 29.7°, I 20, (3 2 1)
- 31.8°, I 100, (4 0 0)
- 37.4°, I 13, (3 3 2)
- 40.8°, I 18, (5 1 0)
- 45.5°, I 68, (4 4 0)
- 54.0°, I 16, (6 2 2)
- 56.6°, I 22, (4 4 4)
- 75.5°, I 25, (8 4 0)
- 84.2°, I 18, (8 4 4)

Structure:
```
data_Tb3NiCl3
_symmetry_space_group_name_H-M 'I 41 3 2'
_symmetry_Int_Tables_number 214
_symmetry_space_group_name_Hall 'I 4bd 2c 3'
_cell_length_a 11.268
_cell_length_b 11.268
_cell_length_c 11.268
_cell_angle_alpha 90.00
_cell_angle_beta 90.00
_cell_angle_gamma 90.00
loop_
_atom_site_label
_atom_site_type_symbol
_atom_site_fract_x
_atom_site_fract_y
_atom_site_fract_z
Tb1 Tb 0.112 0.362 0.125
Ni1 Ni 0.125 0.125 0.125
Cl1 Cl 0.121 0.129 0.625
```

Diffraction record for Pm4SmSn2. The PXRD pattern is calculated, not measured: it uses DFT lattice parameters and positions (PBE) and Cu Ka.
Intensities are scaled so that the largest is 100.

Largest 10 diffraction maxima, low angle first, 15° ≤ 2θ ≤ 90°:
- 25.8°, I 33, (1 0 3)
- 28.0°, I 15, (0 0 4)
- 30.1°, I 100, (2 0 0)
- 35.3°, I 63, (1 1 4)
- 40.0°, I 21, (2 1 3)
- 41.5°, I 21, (2 0 4)
- 43.1°, I 38, (2 2 0)
- 56.9°, I 32, (3 1 4)
- 66.5°, I 21, (2 0 8)
- 70.9°, I 17, (4 2 0)

Structure:
```
data_Pm4SmSn2
_symmetry_space_group_name_H-M 'I 4/m m m'
_symmetry_Int_Tables_number 139
_symmetry_space_group_name_Hall '-I 4 2'
_cell_length_a 5.941
_cell_length_b 5.941
_cell_length_c 12.762
_cell_angle_alpha 90.00
_cell_angle_beta 90.00
_cell_angle_gamma 90.00
loop_
_atom_site_label
_atom_site_type_symbol
_atom_site_fract_x
_atom_site_fract_y
_atom_site_fract_z
Pm1 Pm 0.000 0.500 0.000
Pm2 Pm 0.000 0.500 0.250
Sm1 Sm 0.000 0.000 0.000
Sn1 Sn 0.000 0.000 0.373
```